No. 1
The following is a calculated XRD peak list of Ba2EuSbO6. It was derived from a crystal structure in the Materials Project, relaxed with GGA-PBE, using Cu Kα (weighted mean of Kα1 and Kα2).

Crystal structure
abc: 8.6231 8.6231 8.6231
angles: 90.00 90.00 90.00
Fractional positions:
Ba 0.2500 0.2500 0.2500
Ba 0.2500 0.2500 0.7500
Ba 0.2500 0.7500 0.2500
Ba 0.2500 0.7500 0.7500
Ba 0.7500 0.2500 0.2500
Ba 0.7500 0.2500 0.7500
Ba 0.7500 0.7500 0.2500
Ba 0.7500 0.7500 0.7500
Eu 0.0000 0.0000 0.0000
Eu 0.0000 0.5000 0.5000
Eu 0.5000 0.0000 0.5000
Eu 0.5000 0.5000 0.0000
Sb 0.0000 0.0000 0.5000
Sb 0.0000 0.5000 0.0000
Sb 0.5000 0.0000 0.0000
Sb 0.5000 0.5000 0.5000
O 0.0110 0.5115 0.7662
O 0.0110 0.9885 0.7338
O 0.0115 0.2338 0.5110
O 0.0115 0.2662 0.9890
O 0.2338 0.5110 0.0115
O 0.2338 0.9890 0.4885
O 0.2662 0.5110 0.4885
O 0.2662 0.9890 0.0115
O 0.4885 0.2338 0.9890
O 0.4885 0.2662 0.5110
O 0.4890 0.5115 0.7338
O 0.4890 0.9885 0.7662
O 0.5110 0.0115 0.2338
O 0.5110 0.4885 0.2662
O 0.5115 0.7338 0.4890
O 0.5115 0.7662 0.0110
O 0.7338 0.0110 0.9885
O 0.7338 0.4890 0.5115
O 0.7662 0.0110 0.5115
O 0.7662 0.4890 0.9885
O 0.9885 0.7338 0.0110
O 0.9885 0.7662 0.4890
O 0.9890 0.0115 0.2662
O 0.9890 0.4885 0.2338

Peak list (8 most intense, 10 to 90 degrees two-theta, in order of rising 2θ)
- 29.29 deg, d 3.049, rel. 100
- 36.08 deg, d 2.489, rel. 1
- 41.91 deg, d 2.156, rel. 29
- 51.95 deg, d 1.760, rel. 41
- 60.76 deg, d 1.524, rel. 18
- 68.86 deg, d 1.363, rel. 18
- 76.54 deg, d 1.245, rel. 6
- 83.98 deg, d 1.152, rel. 22

No. 2
The following is a calculated XRD peak list of BaEuYSnO6. It was derived from a crystal structure in the Materials Project, relaxed with GGA-PBE, using Cu Kα (weighted mean of Kα1 and Kα2).

Crystal structure
abc: 6.0283 6.0283 6.0283
angles: 60.00 60.00 60.00
Fractional positions:
Ba 0.0000 0.0000 0.0000
Eu 0.5000 0.5000 0.5000
Y 0.2500 0.2500 0.2500
Sn 0.7500 0.7500 0.7500
O 0.5083 0.5083 0.9917
O 0.5083 0.9917 0.5083
O 0.5083 0.9917 0.9917
O 0.9917 0.5083 0.5083
O 0.9917 0.5083 0.9917
O 0.9917 0.9917 0.5083

Peak list (8 most intense, 10 to 90 degrees two-theta, in order of rising 2θ)
- 29.64 deg, d 3.014, rel. 100
- 36.51 deg, d 2.461, rel. 5
- 42.41 deg, d 2.131, rel. 31
- 52.59 deg, d 1.740, rel. 41
- 61.53 deg, d 1.507, rel. 19
- 69.77 deg, d 1.348, rel. 18
- 77.58 deg, d 1.231, rel. 6
- 85.17 deg, d 1.139, rel. 22

No. 3
The following is a calculated XRD peak list of BaEuYSnO6. It was derived from a crystal structure in the Materials Project, relaxed with GGA-PBE, using Cu Kα (weighted mean of Kα1 and Kα2).

Crystal structure
abc: 8.4471 8.5229 8.5878
angles: 90.00 90.00 90.00
Fractional positions:
Ba 0.2500 0.2500 0.2500
Ba 0.2500 0.7500 0.2500
Ba 0.7500 0.2500 0.7500
Ba 0.7500 0.7500 0.7500
Eu 0.2500 0.2500 0.7500
Eu 0.2500 0.7500 0.7500
Eu 0.7500 0.2500 0.2500
Eu 0.7500 0.7500 0.2500
Y 0.0000 0.0000 0.0000
Y 0.0000 0.5000 0.5000
Y 0.5000 0.0000 0.5000
Y 0.5000 0.5000 0.0000
Sn 0.0000 0.0000 0.5000
Sn 0.0000 0.5000 0.0000
Sn 0.5000 0.0000 0.0000
Sn 0.5000 0.5000 0.5000
O 0.0455 0.0516 0.7413
O 0.0455 0.4484 0.7587
O 0.0506 0.7410 0.9521
O 0.0506 0.7590 0.5479
O 0.2399 0.0320 0.4687
O 0.2399 0.4680 0.0313
O 0.2601 0.0320 0.0313
O 0.2601 0.4680 0.4687
O 0.4494 0.7410 0.5479
O 0.4494 0.7590 0.9521
O 0.4545 0.0516 0.7587
O 0.4545 0.4484 0.7413
O 0.5455 0.5516 0.2587
O 0.5455 0.9484 0.2413
O 0.5506 0.2410 0.0479
O 0.5506 0.2590 0.4521
O 0.7399 0.5320 0.5313
O 0.7399 0.9680 0.9687
O 0.7601 0.5320 0.9687
O 0.7601 0.9680 0.5313
O 0.9494 0.2410 0.4521
O 0.9494 0.2590 0.0479
O 0.9545 0.5516 0.2413
O 0.9545 0.9484 0.2587

Peak list (8 most intense, 10 to 90 degrees two-theta, in order of rising 2θ)
- 29.53 deg, d 3.025, rel. 100
- 29.67 deg, d 3.011, rel. 94
- 29.78 deg, d 3.000, rel. 94
- 42.09 deg, d 2.147, rel. 27
- 42.42 deg, d 2.131, rel. 26
- 52.41 deg, d 1.746, rel. 43
- 52.62 deg, d 1.739, rel. 43
- 52.88 deg, d 1.732, rel. 45